No. 1
This entry pairs a crystal structure of Dy6TmPd3 with its calculated PXRD pattern. Radiation: Cu Ka. Structure: a DFT-relaxed cell (PBE, Alexandria).

Top 10 peaks for 2θ from 10° to 90°, sorted by position:
2theta	Rel. int.
28.28	37
29.39	42
29.83	71
31.13	55
31.41	38
32.44	64
33.60	51
33.81	87
35.05	100
40.04	40

Structure:
Cell: 8.7096 8.7096 7.1882 Å, 90.00 90.00 98.32°
Positions (direct):
Dy1 0.0330 0.4213 0.3335
Dy2 0.0366 0.9634 0.5000
Dy3 0.2303 0.7697 0.1373
Dy4 0.2923 0.3707 0.9882
Dy5 0.3707 0.2923 0.4882
Dy6 0.4213 0.0330 0.8335
Dy7 0.5787 0.9670 0.3335
Dy8 0.6293 0.7077 0.9882
Dy9 0.7077 0.6293 0.4882
Dy10 0.7697 0.2303 0.6373
Dy11 0.9634 0.0366 0.0000
Dy12 0.9670 0.5787 0.8335
Tm1 0.3205 0.6795 0.6178
Tm2 0.6795 0.3205 0.1178
Pd1 0.0875 0.2887 0.7015
Pd2 0.2887 0.0875 0.2015
Pd3 0.4229 0.5771 0.2838
Pd4 0.5771 0.4229 0.7838
Pd5 0.7113 0.9125 0.7015
Pd6 0.9125 0.7113 0.2015

No. 2
This entry pairs a crystal structure of Dy3VPd12 with its calculated PXRD pattern. Radiation: Cu Ka. Structure: a DFT-relaxed cell (PBE, Alexandria).

Top 10 peaks for 2θ from 10° to 90°, sorted by position:
2theta	Rel. int.
35.36	4
38.38	100
44.56	34
44.70	14
64.85	11
64.96	18
71.97	3
77.94	24
78.14	9
82.20	9

Structure:
Cell: 4.0666 4.0666 16.2189 Å, 90.00 90.00 90.00°
Positions (direct):
Dy1 0.0000 0.0000 0.0000
Dy2 0.0000 0.0000 0.2545
Dy3 0.0000 0.0000 0.7455
V1 0.0000 0.0000 0.5000
Pd1 0.0000 0.5000 0.1291
Pd2 0.0000 0.5000 0.3891
Pd3 0.0000 0.5000 0.6109
Pd4 0.0000 0.5000 0.8709
Pd5 0.5000 0.0000 0.1291
Pd6 0.5000 0.0000 0.3891
Pd7 0.5000 0.0000 0.6109
Pd8 0.5000 0.0000 0.8709
Pd9 0.5000 0.5000 0.0000
Pd10 0.5000 0.5000 0.2592
Pd11 0.5000 0.5000 0.5000
Pd12 0.5000 0.5000 0.7408

No. 3
This entry pairs a crystal structure of DyVPd with its calculated PXRD pattern. Radiation: Cu Ka. Structure: a DFT-relaxed cell (PBE, Alexandria).

Top 10 peaks for 2θ from 10° to 90°, sorted by position:
2theta	Rel. int.
25.04	22
28.34	13
31.49	29
35.71	77
38.17	100
46.20	14
51.39	27
61.37	10
65.79	40
86.56	12

Structure:
Cell: 3.5558 3.5558 9.4484 Å, 90.00 90.00 90.00°
Positions (direct):
Dy1 0.0000 0.0000 0.1816
Dy2 0.0000 0.0000 0.8184
V1 0.5000 0.5000 0.3961
V2 0.5000 0.5000 0.6039
Pd1 0.0000 0.0000 0.5000
Pd2 0.5000 0.5000 0.0000

No. 4
This entry pairs a crystal structure of DyY5Pd6 with its calculated PXRD pattern. Radiation: Cu Ka. Structure: a DFT-relaxed cell (PBE, Alexandria).

Top 10 peaks for 2θ from 10° to 90°, sorted by position:
2theta	Rel. int.
35.76	26
35.91	26
36.27	100
51.58	18
52.89	8
64.59	18
64.78	18
65.54	17
77.01	11
87.19	8

Structure:
Cell: 7.9117 7.9117 6.9246 Å, 90.00 90.00 142.99°
Positions (direct):
Dy1 0.0000 0.0000 0.0000
Y1 0.0000 0.0000 0.5000
Y2 0.3332 0.6668 0.0000
Y3 0.3331 0.6669 0.5000
Y4 0.6668 0.3332 0.0000
Y5 0.6669 0.3331 0.5000
Pd1 0.1657 0.8343 0.2494
Pd2 0.1657 0.8343 0.7506
Pd3 0.5000 0.5000 0.2479
Pd4 0.5000 0.5000 0.7521
Pd5 0.8343 0.1657 0.2494
Pd6 0.8343 0.1657 0.7506

No. 5
This entry pairs a crystal structure of DyY3Pd4 with its calculated PXRD pattern. Radiation: Cu Ka. Structure: a DFT-relaxed cell (PBE, Alexandria).

Top 10 peaks for 2θ from 10° to 90°, sorted by position:
2theta	Rel. int.
35.77	52
36.34	100
51.48	18
53.19	8
64.64	36
65.76	17
77.18	11
86.74	8
87.08	8
89.78	8

Structure:
Cell: 3.4441 5.0210 10.0406 Å, 90.00 90.00 90.00°
Positions (direct):
Dy1 0.0000 0.0000 0.0000
Y1 0.0000 0.0000 0.5000
Y2 0.0000 0.5000 0.2502
Y3 0.0000 0.5000 0.7498
Pd1 0.5000 0.0000 0.2479
Pd2 0.5000 0.0000 0.7521
Pd3 0.5000 0.5000 0.0000
Pd4 0.5000 0.5000 0.5000

No. 6
This entry pairs a crystal structure of DyY3Pd3 with its calculated PXRD pattern. Radiation: Cu Ka. Structure: a DFT-relaxed cell (PBE, Alexandria).

Top 10 peaks for 2θ from 10° to 90°, sorted by position:
2theta	Rel. int.
12.79	23
28.53	30
30.21	20
32.33	82
34.38	71
35.70	100
36.71	24
37.70	37
38.93	38
54.53	31

Structure:
Cell: 6.9748 6.9748 7.1181 Å, 91.39 91.39 96.82°
Positions (direct):
Dy1 0.2404 0.2404 0.3763
Dy2 0.7596 0.7596 0.6237
Y1 0.1526 0.1526 0.8662
Y2 0.2475 0.7525 0.5000
Y3 0.3234 0.6766 0.0000
Y4 0.6766 0.3234 0.0000
Y5 0.7525 0.2475 0.5000
Y6 0.8474 0.8474 0.1338
Pd1 0.0015 0.5160 0.7807
Pd2 0.4380 0.4380 0.6906
Pd3 0.4840 0.9985 0.2193
Pd4 0.5160 0.0015 0.7807
Pd5 0.5620 0.5620 0.3094
Pd6 0.9985 0.4840 0.2193

No. 7
This entry pairs a crystal structure of Dy3YPd12 with its calculated PXRD pattern. Radiation: Cu Ka. Structure: a DFT-relaxed cell (PBE, Alexandria).

Top 10 peaks for 2θ from 10° to 90°, sorted by position:
2theta	Rel. int.
21.58	1
30.64	1
37.76	100
43.71	16
43.97	32
63.73	21
63.94	10
76.33	12
76.71	24
80.67	11

Structure:
Cell: 4.1183 4.1183 16.5678 Å, 90.00 90.00 90.00°
Positions (direct):
Dy1 0.0000 0.0000 0.0000
Dy2 0.0000 0.0000 0.2493
Dy3 0.0000 0.0000 0.7507
Y1 0.0000 0.0000 0.5000
Pd1 0.0000 0.5000 0.1248
Pd2 0.0000 0.5000 0.3742
Pd3 0.0000 0.5000 0.6258
Pd4 0.0000 0.5000 0.8752
Pd5 0.5000 0.0000 0.1248
Pd6 0.5000 0.0000 0.3742
Pd7 0.5000 0.0000 0.6258
Pd8 0.5000 0.0000 0.8752
Pd9 0.5000 0.5000 0.0000
Pd10 0.5000 0.5000 0.2497
Pd11 0.5000 0.5000 0.5000
Pd12 0.5000 0.5000 0.7503

No. 8
This entry pairs a crystal structure of DyZn4Pd with its calculated PXRD pattern. Radiation: Cu Ka. Structure: a DFT-relaxed cell (PBE, Alexandria).

Top 10 peaks for 2θ from 10° to 90°, sorted by position:
2theta	Rel. int.
22.59	36
32.17	48
34.74	100
36.41	86
40.69	35
41.63	70
46.03	33
46.24	44
63.25	25
67.30	21

Structure:
Cell: 7.8864 3.9269 6.9312 Å, 90.00 90.00 90.00°
Positions (direct):
Dy1 0.2500 0.0000 0.1172
Dy2 0.7500 0.0000 0.8828
Zn1 0.0000 0.0000 0.5000
Zn2 0.0431 0.5000 0.8089
Zn3 0.2500 0.5000 0.4467
Zn4 0.4569 0.5000 0.8089
Zn5 0.5000 0.0000 0.5000
Zn6 0.5431 0.5000 0.1911
Zn7 0.7500 0.5000 0.5533
Zn8 0.9569 0.5000 0.1911
Pd1 0.2500 0.0000 0.7153
Pd2 0.7500 0.0000 0.2847

No. 9
This entry pairs a crystal structure of DyZn3Pd with its calculated PXRD pattern. Radiation: Cu Ka. Structure: a DFT-relaxed cell (PBE, Alexandria).

Top 10 peaks for 2θ from 10° to 90°, sorted by position:
2theta	Rel. int.
33.32	23
34.17	46
34.56	32
35.54	32
36.58	67
37.26	39
37.54	83
39.41	61
40.50	100
63.64	22

Structure:
Cell: 5.4775 5.3779 6.0158 Å, 90.00 92.08 90.00°
Positions (direct):
Dy1 0.1527 0.2500 0.1767
Dy2 0.8473 0.7500 0.8233
Zn1 0.3376 0.0078 0.6686
Zn2 0.3376 0.4922 0.6686
Zn3 0.3688 0.7500 0.0430
Zn4 0.6312 0.2500 0.9570
Zn5 0.6624 0.5078 0.3314
Zn6 0.6624 0.9922 0.3314
Pd1 0.0806 0.7500 0.3700
Pd2 0.9194 0.2500 0.6300

No. 10
This entry pairs a crystal structure of DyZn5Pd7 with its calculated PXRD pattern. Radiation: Cu Ka. Structure: a DFT-relaxed cell (PBE, Alexandria).

Top 10 peaks for 2θ from 10° to 90°, sorted by position:
2theta	Rel. int.
34.15	30
34.90	61
39.93	55
40.60	100
40.75	23
40.88	28
45.09	47
45.89	18
65.51	24
71.90	18

Structure:
Cell: 6.7817 6.7817 6.7817 Å, 134.44 98.47 98.77°
Positions (direct):
Dy1 0.0000 0.0000 0.0000
Zn1 0.4871 0.4916 0.5010
Zn2 0.4871 0.9861 0.9955
Zn3 0.7604 0.2604 0.5000
Zn4 0.9905 0.4916 0.0045
Zn5 0.9905 0.9861 0.4990
Pd1 0.1873 0.4830 0.7043
Pd2 0.2160 0.7160 0.5000
Pd3 0.3350 0.9939 0.3411
Pd4 0.3368 0.3368 0.0000
Pd5 0.6515 0.6515 0.0000
Pd6 0.6527 0.9939 0.6589
Pd7 0.7787 0.4830 0.2957

No. 11
This entry pairs a crystal structure of Dy2Zn7Pd with its calculated PXRD pattern. Radiation: Cu Ka. Structure: a DFT-relaxed cell (PBE, Alexandria).

Top 10 peaks for 2θ from 10° to 90°, sorted by position:
2theta	Rel. int.
31.23	11
32.81	52
35.27	100
44.74	45
46.72	33
56.59	22
65.13	14
66.68	22
76.30	21
84.79	11

Structure:
Cell: 4.0508 4.0508 11.0811 Å, 90.00 90.00 90.00°
Positions (direct):
Dy1 0.0000 0.5000 0.2490
Dy2 0.5000 0.0000 0.7510
Zn1 0.0000 0.0000 0.0000
Zn2 0.0000 0.5000 0.6414
Zn3 0.0000 0.5000 0.8608
Zn4 0.5000 0.0000 0.1392
Zn5 0.5000 0.0000 0.3586
Zn6 0.5000 0.5000 0.0000
Zn7 0.5000 0.5000 0.5000
Pd1 0.0000 0.0000 0.5000

No. 12
This entry pairs a crystal structure of PmDy5 with its calculated PXRD pattern. Radiation: Cu Ka. Structure: a DFT-relaxed cell (PBE, Alexandria).

Top 8 peaks for 2θ from 10° to 90°, sorted by position:
2theta	Rel. int.
30.77	100
35.68	51
51.35	36
61.06	43
64.09	12
75.57	6
83.77	18
86.47	17

Structure:
Cell: 7.9580 7.9580 5.0352 Å, 90.00 90.00 143.15°
Positions (direct):
Pm1 0.0000 0.0000 0.0000
Dy1 0.1671 0.8329 0.5000
Dy2 0.3325 0.6675 0.0000
Dy3 0.5000 0.5000 0.5000
Dy4 0.6675 0.3325 0.0000
Dy5 0.8329 0.1671 0.5000